Diffraction record for La21Fe8Sb7C12. The powder X-ray diffraction pattern is calculated, not measured: it uses the PBE geometry in the Materials Project and copper Kα.
Neutral-atom scattering factors, no anomalous dispersion.

Most intense lines, 5 to 70 degrees two-theta, sorted by position:
| Position (°2θ) | Rel. int. | (hkl) |
| --- | --- | --- |
| 28.17 | 100.0 | 3 3 3 |
| 30.73 | 52.2 | 4 4 0 |
| 32.17 | 66.3 | 5 3 1 |
| 32.64 | 77.2 | 6 0 0 |
| 36.20 | 11.3 | 6 2 2 |
| 42.17 | 24.2 | 5 5 3 |
| 46.83 | 27.7 | 6 6 0 |
| 50.84 | 18.7 | 8 4 2 |
| 54.63 | 32.5 | 8 4 4 |
| 55.55 | 15.0 | 9 3 3 |
| 62.59 | 15.3 | 11 1 1 |
| 64.83 | 14.6 | 9 5 5 |

Atomic structure:
Unit cell a=16.460 b=16.460 c=16.460 alpha=90.00 beta=90.00 gamma=90.00
Space group Fm-3m (No. 225)
Asymmetric unit:
La1 0.000 0.000 0.000
La2 0.000 0.172 0.172
La3 0.133 0.133 0.367
Fe1 0.196 0.196 0.196
Sb1 0.000 0.000 0.275
Sb2 0.000 0.000 0.500
C1 0.110 0.250 0.250

***

Diffraction record for La2Fe2Si2C. The powder X-ray diffraction pattern is calculated, not measured: it uses the PBE geometry in the Materials Project and copper Kα.
Neutral-atom scattering factors, no anomalous dispersion.

Most intense lines, 5 to 70 degrees two-theta, sorted by position:
| Position (°2θ) | Rel. int. | (hkl) |
| --- | --- | --- |
| 24.41 | 60.6 | 1 1 0 |
| 25.09 | 35.1 | 2 0 -2 |
| 32.49 | 45.2 | 1 1 1 |
| 32.85 | 40.6 | 2 0 1 |
| 33.31 | 97.0 | 4 0 -2 |
| 34.02 | 27.8 | 4 0 -1 |
| 34.92 | 100.0 | 1 1 -2 |
| 35.66 | 33.6 | 3 1 -2 |
| 38.33 | 46.3 | 3 1 0 |
| 45.12 | 38.2 | 0 2 0 |
| 57.27 | 31.1 | 3 1 -4 |
| 61.06 | 31.7 | 1 1 3 |

Atomic structure:
Unit cell a=10.957 b=4.019 c=7.106 alpha=90.00 beta=127.60 gamma=90.00
Space group C2/m (No. 12)
Asymmetric unit:
La1 0.056 0.000 0.303
Fe1 0.191 0.500 0.082
Si1 0.187 0.500 0.755
C1 0.000 0.500 0.000

***

Diffraction record for Rb2LiFeC6N6. The powder X-ray diffraction pattern is calculated, not measured: it uses the PBE geometry in the Materials Project and copper Kα.
Neutral-atom scattering factors, no anomalous dispersion.

Most intense lines, 5 to 70 degrees two-theta, sorted by position:
| Position (°2θ) | Rel. int. | (hkl) |
| --- | --- | --- |
| 14.60 | 20.7 | 0 1 1 |
| 14.89 | 17.7 | 1 0 -2 |
| 23.79 | 22.7 | 0 2 0 |
| 24.21 | 100.0 | 1 1 1 |
| 24.47 | 26.3 | 2 0 -2 |
| 28.60 | 18.4 | 2 1 -1 |
| 29.45 | 22.4 | 0 2 2 |
| 34.39 | 35.4 | 2 2 -2 |
| 34.61 | 24.4 | 0 0 4 |
| 39.17 | 19.2 | 1 3 -2 |
| 42.81 | 17.5 | 2 0 2 |
| 42.95 | 18.4 | 3 1 -5 |

Atomic structure:
Unit cell a=7.277 b=7.480 c=12.644 alpha=90.00 beta=124.92 gamma=90.00
Space group P2_1/c (No. 14)
Asymmetric unit:
Rb1 0.236 0.055 0.249
Li1 0.000 0.000 0.500
Fe1 0.500 0.000 0.000
C1 0.264 0.144 0.978
C2 0.324 0.708 0.470
C3 0.371 0.007 0.820
N1 0.119 0.236 0.963
N2 0.215 0.664 0.952
N3 0.289 0.014 0.708

***

Diffraction record for LuFeC2. The powder X-ray diffraction pattern is calculated, not measured: it uses the PBE geometry in the Materials Project and copper Kα.
Neutral-atom scattering factors, no anomalous dispersion.

Most intense lines, 5 to 70 degrees two-theta, sorted by position:
| Position (°2θ) | Rel. int. | (hkl) |
| --- | --- | --- |
| 24.77 | 40.6 | 0 1 1 |
| 25.66 | 9.3 | 1 0 0 |
| 30.30 | 23.4 | 0 0 2 |
| 35.97 | 100.0 | 1 1 1 |
| 39.78 | 19.1 | 0 2 0 |
| 40.12 | 25.1 | 1 0 2 |
| 50.60 | 17.5 | 0 1 3 |
| 50.81 | 15.0 | 0 2 2 |
| 52.74 | 10.3 | 2 0 0 |
| 57.59 | 11.9 | 1 1 3 |
| 57.78 | 14.3 | 1 2 2 |
| 69.74 | 13.8 | 1 3 1 |

Atomic structure:
Unit cell a=3.471 b=4.532 c=5.899 alpha=90.00 beta=90.00 gamma=90.00
Space group Amm2 (No. 38)
Asymmetric unit:
Lu1 0.000 0.000 0.000
Fe1 0.500 0.000 0.608
C1 0.500 0.155 0.294

***

Diffraction record for Lu2Fe17C3. The powder X-ray diffraction pattern is calculated, not measured: it uses the PBE geometry in the Materials Project and copper Kα.
Neutral-atom scattering factors, no anomalous dispersion.

Most intense lines, 5 to 70 degrees two-theta, sorted by position:
| Position (°2θ) | Rel. int. | (hkl) |
| --- | --- | --- |
| 29.94 | 48.9 | 1 1 3 |
| 31.06 | 12.6 | 1 0 4 |
| 32.78 | 13.5 | 2 1 1 |
| 36.38 | 41.4 | 3 0 0 |
| 37.66 | 31.3 | 0 2 4 |
| 42.26 | 74.5 | 2 2 0 |
| 42.55 | 100.0 | 3 0 3 |
| 43.41 | 56.4 | 0 0 6 |
| 43.68 | 15.1 | 2 0 5 |
| 61.55 | 35.4 | 2 1 7 |
| 62.19 | 32.6 | 2 2 6 |
| 69.72 | 16.7 | 3 3 3 |

Atomic structure:
Unit cell a=8.5543 b=8.5543 c=12.5023 alpha=90.00 beta=90.00 gamma=120.00
Space group R-3m (No. 166, hexagonal axes)
Asymmetric unit:
Lu1 0.0000 0.0000 0.1578
Fe1 0.0000 0.0000 0.4038
Fe2 0.0000 0.2834 0.5000
Fe3 0.0000 0.5000 0.0000
Fe4 0.0052 0.5026 0.3477
C1 0.0000 0.5000 0.5000

***

Diffraction record for LuFe2SiC. The powder X-ray diffraction pattern is calculated, not measured: it uses the PBE geometry in the Materials Project and copper Kα.
Neutral-atom scattering factors, no anomalous dispersion.

Most intense lines, 5 to 70 degrees two-theta, sorted by position:
| Position (°2θ) | Rel. int. | (hkl) |
| --- | --- | --- |
| 25.82 | 24.2 | 1 1 0 |
| 31.69 | 33.6 | 0 2 2 |
| 35.64 | 50.2 | 1 3 0 |
| 36.99 | 45.7 | 0 4 1 |
| 37.37 | 100.0 | 1 1 2 |
| 38.15 | 50.0 | 1 3 1 |
| 44.00 | 31.8 | 0 2 3 |
| 49.89 | 23.4 | 2 0 0 |
| 54.87 | 18.6 | 1 3 3 |
| 63.70 | 18.4 | 2 4 1 |
| 66.38 | 21.5 | 1 5 3 |
| 68.68 | 16.2 | 2 2 3 |

Atomic structure:
Unit cell a=3.656 b=10.427 c=6.717 alpha=90.00 beta=90.00 gamma=90.00
Space group Cmcm (No. 63)
Asymmetric unit:
Lu1 0.000 0.047 0.250
Fe1 0.000 0.335 0.061
Si1 0.000 0.233 0.750
C1 0.000 0.500 0.000

***

Diffraction record for LuTiFe11C. The powder X-ray diffraction pattern is calculated, not measured: it uses the PBE geometry in the Materials Project and copper Kα.
Neutral-atom scattering factors, no anomalous dispersion.

Most intense lines, 5 to 70 degrees two-theta, sorted by position:
| Position (°2θ) | Rel. int. | (hkl) |
| --- | --- | --- |
| 14.72 | 17.5 | 0 1 1 |
| 29.95 | 46.2 | 1 2 1 |
| 36.72 | 27.7 | 1 3 0 |
| 36.86 | 26.2 | 1 0 3 |
| 37.43 | 21.4 | 2 0 0 |
| 42.38 | 34.6 | 0 4 0 |
| 42.63 | 100.0 | 0 0 4 |
| 42.71 | 55.2 | 1 2 3 |
| 43.25 | 89.7 | 2 0 2 |
| 48.49 | 23.1 | 2 2 2 |
| 50.95 | 12.7 | 2 3 1 |
| 61.66 | 12.9 | 0 4 4 |

Atomic structure:
Unit cell a=4.805 b=8.531 c=8.490 alpha=90.00 beta=90.00 gamma=90.00
Space group Imm2 (No. 44)
Asymmetric unit:
Lu1 0.000 0.000 0.000
Ti1 0.000 0.000 0.627
Fe1 0.000 0.000 0.348
Fe2 0.000 0.280 0.490
Fe3 0.000 0.358 0.992
Fe4 0.000 0.500 0.271
Fe5 0.000 0.500 0.716
Fe6 0.249 0.248 0.243
C1 0.000 0.500 0.494